(1)
Calculated X-ray powder pattern
Compound: Li6PS5I
Radiation: Cu Ka
Structure: DFT lattice parameters and positions (GGA-PBE)
Intensities are scaled so that the largest is 100.

Cell and atoms:
```
data_Li6PS5I
_chemical_formula_sum 'Li24 P4 S20 I4'
_symmetry_space_group_name_H-M 'C 1 c 1'
_symmetry_Int_Tables_number 9
_symmetry_space_group_name_Hall 'C -2yc'
_cell_length_a 12.6269
_cell_length_b 7.2920
_cell_length_c 12.3979
_cell_angle_alpha 90.00
_cell_angle_beta 109.48
_cell_angle_gamma 90.00
loop_
_atom_site_label
_atom_site_type_symbol
_atom_site_fract_x
_atom_site_fract_y
_atom_site_fract_z
Li1 Li 0.0000 0.0067 0.0000
Li2 Li 0.0703 0.2598 0.8228
Li3 Li 0.2902 0.2158 0.4928
Li4 Li 0.2961 0.0665 0.2282
Li5 Li 0.2974 0.4624 0.2473
Li6 Li 0.4732 0.0221 0.9921
P1 P 0.0342 0.2547 0.2605
S1 S 0.0893 0.2556 0.4368
S2 S 0.0924 0.0188 0.2069
S3 S 0.0915 0.4838 0.1997
S4 S 0.3614 0.2418 0.7023
S5 S 0.4083 0.2496 0.3825
I1 I 0.2864 0.2372 0.0143
```

The 10 most intense peaks (5° ≤ 2θ ≤ 70°), in order of rising 2θ:
d (Å)  intensity  hkl
5.124  100.0  1 1 1
3.646  89.5  3 1 -1
3.611  29.1  2 0 2
3.595  57.0  1 1 -3
3.105  69.5  4 0 -2
3.089  55.4  0 2 2
3.070  30.8  1 1 3
2.970  61.5  4 0 0
2.103  31.0  6 0 -2
1.823  36.4  0 4 0

(2)
Calculated X-ray powder pattern
Compound: MgCu3N3
Radiation: Cu Ka
Structure: DFT lattice parameters and positions (GGA-PBE)
Intensities are scaled so that the largest is 100.

Cell and atoms:
```
data_MgCu3N3
_chemical_formula_sum 'Mg1 Cu3 N3'
_symmetry_space_group_name_H-M 'P m -3 m'
_symmetry_Int_Tables_number 221
_symmetry_space_group_name_Hall '-P 4 2 3'
_cell_length_a 4.1383
_cell_length_b 4.1383
_cell_length_c 4.1383
_cell_angle_alpha 90.00
_cell_angle_beta 90.00
_cell_angle_gamma 90.00
loop_
_atom_site_label
_atom_site_type_symbol
_atom_site_fract_x
_atom_site_fract_y
_atom_site_fract_z
Mg1 Mg 0.0000 0.0000 0.0000
Cu1 Cu 0.0000 0.5000 0.5000
N1 N 0.0000 0.0000 0.5000
```

The 8 most intense peaks (5° ≤ 2θ ≤ 70°), in order of rising 2θ:
d (Å)  intensity  hkl
4.138  6.5  1 0 0
2.926  23.5  1 1 0
2.389  100.0  1 1 1
2.069  93.9  2 0 0
1.851  3.6  2 1 0
1.689  7.7  2 1 1
1.463  54.3  2 2 0
1.379  1.7  3 0 0

(3)
Calculated X-ray powder pattern
Compound: NaTi4Cu3O12
Radiation: Cu Ka
Structure: DFT lattice parameters and positions (GGA-PBE)
Intensities are scaled so that the largest is 100.

Cell and atoms:
```
data_NaTi4Cu3O12
_chemical_formula_sum 'Na2 Ti8 Cu6 O24'
_symmetry_space_group_name_H-M 'I m -3'
_symmetry_Int_Tables_number 204
_symmetry_space_group_name_Hall '-I 2 2 3'
_cell_length_a 7.4302
_cell_length_b 7.4302
_cell_length_c 7.4302
_cell_angle_alpha 90.00
_cell_angle_beta 90.00
_cell_angle_gamma 90.00
loop_
_atom_site_label
_atom_site_type_symbol
_atom_site_fract_x
_atom_site_fract_y
_atom_site_fract_z
Na1 Na 0.0000 0.0000 0.0000
Ti1 Ti 0.2500 0.2500 0.2500
Cu1 Cu 0.0000 0.0000 0.5000
O1 O 0.0000 0.3097 0.1776
```

The 10 most intense peaks (5° ≤ 2θ ≤ 70°), in order of rising 2θ:
d (Å)  intensity  hkl
5.254  11.2  1 1 0
3.033  8.9  2 1 1
2.627  100.0  2 2 0
2.350  8.6  3 1 0
2.145  4.7  2 2 2
1.986  4.7  3 2 1
1.858  28.4  4 0 0
1.751  3.2  3 3 0
1.584  2.2  3 3 2
1.517  51.3  4 2 2

(4)
Calculated X-ray powder pattern
Compound: La4Te3N2
Radiation: Cu Ka
Structure: DFT lattice parameters and positions (GGA-PBE)
Intensities are scaled so that the largest is 100.

Cell and atoms:
```
data_La4Te3N2
_chemical_formula_sum 'La16 Te12 N8'
_symmetry_space_group_name_H-M 'P n m a'
_symmetry_Int_Tables_number 62
_symmetry_space_group_name_Hall '-P 2ac 2n'
_cell_length_a 7.5250
_cell_length_b 11.8712
_cell_length_c 11.7059
_cell_angle_alpha 90.00
_cell_angle_beta 90.00
_cell_angle_gamma 90.00
loop_
_atom_site_label
_atom_site_type_symbol
_atom_site_fract_x
_atom_site_fract_y
_atom_site_fract_z
La1 La 0.0892 0.2500 0.1587
La2 La 0.1472 0.0502 0.8908
La3 La 0.2241 0.2500 0.5297
Te1 Te 0.0670 0.5772 0.6355
Te2 Te 0.0816 0.7500 0.2704
N1 N 0.0545 0.6218 0.9661
```

The 10 most intense peaks (5° ≤ 2θ ≤ 70°), in order of rising 2θ:
d (Å)  intensity  hkl
3.646  32.6  1 2 2
3.355  44.7  1 3 1
3.325  45.0  1 1 3
3.066  81.6  2 2 1
3.005  100.0  1 3 2
2.708  32.0  2 0 3
2.625  30.4  0 2 4
2.402  19.0  3 1 1
1.979  19.3  0 6 0
1.705  18.5  3 5 1